Calculated powder XRD pattern
Compound: TbNdSc3
Radiation: Cu Kα, 1.54184 Å
Structure: a cell relaxed with GGA-PBE

Cell and atoms:
```
TbNdSc3
1.0
5.2981 0.0000 0.0000
0.0000 7.3320 0.0000
0.0000 0.0000 7.4216
Tb Nd Sc
2 2 6
Direct
0.0000 0.0000 0.0000 Tb
0.5000 0.5000 0.5000 Tb
0.0000 0.5000 0.1984 Nd
0.5000 0.0000 0.6984 Nd
0.0000 0.0000 0.3936 Sc
0.0000 0.3022 0.6947 Sc
0.0000 0.6978 0.6947 Sc
0.5000 0.1978 0.1947 Sc
0.5000 0.5000 0.8936 Sc
0.5000 0.8022 0.1947 Sc
```

Main lines, in order of falling intensity (2θ from 10° to 90°):
31.9 deg, d = 2.808 Å, rel. 100, (1 1 2)
32.0 deg, d = 2.793 Å, rel. 77, (1 2 1)
33.8 deg, d = 2.649 Å, rel. 35, (2 0 0)
24.3 deg, d = 3.666 Å, rel. 33, (0 2 0)
20.6 deg, d = 4.311 Å, rel. 32, (1 0 1)
17.0 deg, d = 5.216 Å, rel. 27, (0 1 1)
38.4 deg, d = 2.344 Å, rel. 22, (0 1 3)
52.1 deg, d = 1.755 Å, rel. 18, (2 1 3)
64.1 deg, d = 1.454 Å, rel. 18, (2 3 3)
59.3 deg, d = 1.558 Å, rel. 17, (3 1 2)